This entry pairs a crystal structure of LiMn4O6 with its theoretical powder X-ray diffraction pattern. Radiation: Cu Kα (weighted mean of Kα1 and Kα2). Structure: a cell relaxed with GGA+U.

Crystal structure
Cell: 8.954 6.119 9.571 Å, 90.00 110.88 90.00°
Space group Cc (No. 9)
Symmetry-distinct sites (fractional):
Li 0.000 0.110 0.000 (multiplicity 4)
Mn 0.000 0.355 0.500 (multiplicity 4)
Mn 0.170 0.347 0.847 (multiplicity 4)
Mn 0.250 0.251 0.250 (multiplicity 4)
Mn 0.330 0.153 0.652 (multiplicity 4)
O 0.045 0.377 0.147 (multiplicity 4)
O 0.123 0.135 0.678 (multiplicity 4)
O 0.234 0.357 0.447 (multiplicity 4)
O 0.266 0.143 0.052 (multiplicity 4)
O 0.377 0.365 0.821 (multiplicity 4)
O 0.455 0.124 0.352 (multiplicity 4)

Principal peaks in the range 5° ≤ 2θ ≤ 70°, in order of rising 2θ:
d_spacing	two_theta	intensity
4.939	17.96	86
3.059	29.19	35
3.014	29.64	45
2.829	31.63	76
2.680	33.43	59
2.624	34.17	38
2.223	40.59	37
2.135	42.33	100
1.610	57.24	29
1.579	58.46	27